[1]
For BaSr2Y2Cu2PtO10, DFT lattice parameters and positions (GGA-PBE) gives the calculated X-ray diffraction stick pattern in this record (Cu Kα X-rays).
Neutral-atom scattering factors, no anomalous dispersion.

Atomic structure:
```
BaSr2Y2Cu2PtO10
1.0
6.191 -2.868 0.000
6.191 2.868 0.000
-2.001 0.000 7.233
Ba Sr Y Cu Pt O
1 2 2 2 1 10
Cartesian
0.000 0.000 0.000 Ba
0.806 0.000 3.829 Sr
3.595 0.000 0.401 Sr
4.391 0.000 4.755 Y
9.582 0.000 2.913 Y
6.323 0.000 2.423 Cu
7.655 0.000 5.247 Cu
7.972 0.000 0.223 Pt
2.728 1.511 4.667 O
5.063 1.357 2.997 O
6.218 1.321 5.897 O
7.802 1.321 1.788 O
3.938 0.000 7.085 O
2.728 -1.511 4.667 O
5.063 -1.357 2.997 O
9.957 0.000 0.583 O
6.218 -1.321 5.897 O
7.802 -1.321 1.788 O
```

The 10 most intense peaks (15° ≤ 2θ ≤ 90°), low angle first:
2θ (°), I (rel.)
17.15, 30
24.62, 20
27.36, 41
31.18, 49
32.43, 100
32.66, 28
40.13, 19
43.22, 18
48.59, 22
56.29, 28

[2]
For Ba4CuRh3O12, DFT lattice parameters and positions (GGA-PBE) gives the calculated X-ray diffraction stick pattern in this record (Cu Kα X-rays).
Neutral-atom scattering factors, no anomalous dispersion.

Atomic structure:
```
Ba4CuRh3O12
1.0
-4.083 4.083 4.083
4.083 -4.083 4.083
4.083 4.083 -4.083
Ba Cu Rh O
4 1 3 12
Cartesian
2.042 2.042 -2.042 Ba
2.042 -2.042 2.042 Ba
-2.042 2.042 2.042 Ba
2.042 2.042 2.042 Ba
0.000 0.000 0.000 Cu
4.083 0.000 0.000 Rh
0.000 4.083 0.000 Rh
0.000 0.000 4.083 Rh
2.099 0.000 0.000 O
6.068 0.000 0.000 O
4.083 2.042 0.000 O
4.083 0.000 2.042 O
0.000 2.099 0.000 O
0.000 0.000 2.099 O
2.042 4.083 0.000 O
2.042 0.000 4.083 O
0.000 6.068 0.000 O
0.000 0.000 6.068 O
0.000 4.083 2.042 O
0.000 2.042 4.083 O
```

The 10 most intense peaks (15° ≤ 2θ ≤ 90°), low angle first:
2θ (°), I (rel.)
15.34, 1
30.97, 100
38.18, 6
44.37, 31
55.09, 39
64.55, 19
73.32, 17
77.54, 2
81.69, 6
89.89, 21